[1]
Diffraction record for RbNaUI6. The powder XRD pattern is theoretical, not measured: it uses a crystal structure in Alexandria, relaxed with PBE and Cu Kα (weighted mean of Kα1 and Kα2).

Cell and atoms:
```
data_RbNaUI6
_chemical_formula_sum 'Rb2 Na2 U2 I12'
_space_group_name_H-M_alt 'P -3 1 c'
_space_group_IT_number 163
_space_group_name_Hall '-P 3 2c'
_cell_length_a 8.1348
_cell_length_b 8.1348
_cell_length_c 16.1031
_cell_angle_alpha 90.00
_cell_angle_beta 90.00
_cell_angle_gamma 120.00
loop_
_atom_site_label
_atom_site_type_symbol
_atom_site_fract_x
_atom_site_fract_y
_atom_site_fract_z
_atom_site_occupancy
Rb1 Rb 0.0000 0.0000 0.0000 1
Na1 Na 0.3333 0.6667 0.2500 1
U1 U 0.3333 0.6667 0.7500 1
I1 I 0.0218 0.3777 0.6394 1
```

Largest 10 diffraction maxima, sorted by position, 5 to 70 degrees two-theta:
2θ (°)  d/Å  I/Imax
10.99  8.052  24
13.72  6.454  47
16.72  5.302  34
24.52  3.630  100
31.26  2.861  71
35.51  2.528  18
38.33  2.348  38
40.26  2.240  28
50.26  1.815  15
60.59  1.528  14

=====

[2]
Diffraction record for Na2S4I. The powder XRD pattern is theoretical, not measured: it uses a crystal structure in Alexandria, relaxed with PBE and Cu Kα (weighted mean of Kα1 and Kα2).

Cell and atoms:
```
data_Na2S4I
_chemical_formula_sum 'Na4 S8 I2'
_space_group_name_H-M_alt 'I 4/m m m'
_space_group_IT_number 139
_space_group_name_Hall '-I 4 2'
_cell_length_a 5.1981
_cell_length_b 5.1981
_cell_length_c 14.1334
_cell_angle_alpha 90.00
_cell_angle_beta 90.00
_cell_angle_gamma 90.00
loop_
_atom_site_label
_atom_site_type_symbol
_atom_site_fract_x
_atom_site_fract_y
_atom_site_fract_z
_atom_site_occupancy
Na1 Na 0.0000 0.0000 0.1232 1
S1 S 0.0000 0.0000 0.3211 1
S2 S 0.0000 0.5000 0.0000 1
I1 I 0.0000 0.0000 0.5000 1
```

Largest 10 diffraction maxima, sorted by position, 5 to 70 degrees two-theta:
2θ (°)  d/Å  I/Imax
12.53  7.067  94
18.18  4.879  100
24.21  3.676  52
25.52  3.491  25
34.51  2.599  64
36.17  2.483  54
36.85  2.439  26
39.28  2.294  26
50.85  1.795  39
52.42  1.745  23

=====

[3]
Diffraction record for NaTcSbI2. The powder XRD pattern is theoretical, not measured: it uses a crystal structure in Alexandria, relaxed with PBE and Cu Kα (weighted mean of Kα1 and Kα2).

Cell and atoms:
```
data_NaTcSbI2
_chemical_formula_sum 'Na1 Tc1 Sb1 I2'
_space_group_name_H-M_alt 'P 4/m m m'
_space_group_IT_number 123
_space_group_name_Hall '-P 4 2'
_cell_length_a 5.8230
_cell_length_b 5.8230
_cell_length_c 5.0802
_cell_angle_alpha 90.00
_cell_angle_beta 90.00
_cell_angle_gamma 90.00
loop_
_atom_site_label
_atom_site_type_symbol
_atom_site_fract_x
_atom_site_fract_y
_atom_site_fract_z
_atom_site_occupancy
Na1 Na 0.0000 0.0000 0.0000 1
Tc1 Tc 0.5000 0.5000 0.5000 1
Sb1 Sb 0.5000 0.5000 0.0000 1
I1 I 0.0000 0.5000 0.5000 1
```

Largest 10 diffraction maxima, sorted by position, 5 to 70 degrees two-theta:
2θ (°)  d/Å  I/Imax
15.22  5.823  87
17.46  5.080  35
27.89  3.199  91
30.71  2.911  100
34.44  2.604  23
35.34  2.540  34
43.98  2.059  37
47.50  1.914  58
52.89  1.731  30
57.63  1.599  32

=====

[4]
Diffraction record for NaTiSbI2. The powder XRD pattern is theoretical, not measured: it uses a crystal structure in Alexandria, relaxed with PBE and Cu Kα (weighted mean of Kα1 and Kα2).

Cell and atoms:
```
data_NaTiSbI2
_chemical_formula_sum 'Na1 Ti1 Sb1 I2'
_space_group_name_H-M_alt 'P 4/m m m'
_space_group_IT_number 123
_space_group_name_Hall '-P 4 2'
_cell_length_a 5.7083
_cell_length_b 5.7083
_cell_length_c 5.3402
_cell_angle_alpha 90.00
_cell_angle_beta 90.00
_cell_angle_gamma 90.00
loop_
_atom_site_label
_atom_site_type_symbol
_atom_site_fract_x
_atom_site_fract_y
_atom_site_fract_z
_atom_site_occupancy
Na1 Na 0.0000 0.0000 0.0000 1
Ti1 Ti 0.5000 0.5000 0.5000 1
Sb1 Sb 0.5000 0.5000 0.0000 1
I1 I 0.0000 0.5000 0.5000 1
```

Largest 10 diffraction maxima, sorted by position, 5 to 70 degrees two-theta:
2θ (°)  d/Å  I/Imax
15.52  5.708  35
16.60  5.340  17
27.70  3.220  100
31.34  2.854  59
33.56  2.670  24
44.91  2.018  21
46.58  1.950  38
53.59  1.710  31
56.50  1.629  13
57.22  1.610  20

=====

[5]
Diffraction record for Na2ScI4. The powder XRD pattern is theoretical, not measured: it uses a crystal structure in Alexandria, relaxed with PBE and Cu Kα (weighted mean of Kα1 and Kα2).

Cell and atoms:
```
data_Na2ScI4
_chemical_formula_sum 'Na4 Sc2 I8'
_space_group_name_H-M_alt 'I -4 2 m'
_space_group_IT_number 121
_space_group_name_Hall 'I -4 2'
_cell_length_a 7.8571
_cell_length_b 7.8571
_cell_length_c 9.7131
_cell_angle_alpha 90.00
_cell_angle_beta 90.00
_cell_angle_gamma 90.00
loop_
_atom_site_label
_atom_site_type_symbol
_atom_site_fract_x
_atom_site_fract_y
_atom_site_fract_z
_atom_site_occupancy
Na1 Na 0.0000 0.5000 0.2500 1
Sc1 Sc 0.0000 0.0000 0.0000 1
I1 I 0.2448 0.2448 0.0950 1
```

Largest 10 diffraction maxima, sorted by position, 5 to 70 degrees two-theta:
2θ (°)  d/Å  I/Imax
22.63  3.929  43
24.34  3.656  100
32.22  2.778  38
40.54  2.225  13
40.79  2.212  50
43.83  2.066  19
46.22  1.964  13
52.71  1.737  12
52.91  1.730  11
63.32  1.469  13

=====

[6]
Diffraction record for NaSmSeI. The powder XRD pattern is theoretical, not measured: it uses a crystal structure in Alexandria, relaxed with PBE and Cu Kα (weighted mean of Kα1 and Kα2).

Cell and atoms:
```
data_NaSmSeI
_chemical_formula_sum 'Na3 Sm3 Se3 I3'
_space_group_name_H-M_alt 'R 3 m'
_space_group_IT_number 160
_space_group_name_Hall 'R 3 -2"'
_cell_length_a 4.1843
_cell_length_b 4.1843
_cell_length_c 23.9070
_cell_angle_alpha 90.00
_cell_angle_beta 90.00
_cell_angle_gamma 120.00
loop_
_atom_site_label
_atom_site_type_symbol
_atom_site_fract_x
_atom_site_fract_y
_atom_site_fract_z
_atom_site_occupancy
Na1 Na 0.0000 0.0000 0.0000 1
Sm1 Sm 0.0000 0.0000 0.1963 1
Se1 Se 0.0000 0.0000 0.5992 1
I1 I 0.0000 0.0000 0.7732 1
```

Largest 10 diffraction maxima, sorted by position, 5 to 70 degrees two-theta:
2θ (°)  d/Å  I/Imax
11.10  7.969  55
25.69  3.468  67
30.96  2.888  100
36.14  2.485  45
43.24  2.092  45
44.79  2.024  11
45.48  1.995  32
54.13  1.694  20
57.59  1.601  12
64.58  1.443  27

=====

[7]
Diffraction record for Na6TeSeI2. The powder XRD pattern is theoretical, not measured: it uses a crystal structure in Alexandria, relaxed with PBE and Cu Kα (weighted mean of Kα1 and Kα2).

Cell and atoms:
```
data_Na6TeSeI2
_chemical_formula_sum 'Na12 Te2 Se2 I4'
_space_group_name_H-M_alt 'C 1 2/m 1'
_space_group_IT_number 12
_space_group_name_Hall '-C 2y'
_cell_length_a 13.5772
_cell_length_b 7.9085
_cell_length_c 7.9342
_cell_angle_alpha 90.00
_cell_angle_beta 124.65
_cell_angle_gamma 90.00
loop_
_atom_site_label
_atom_site_type_symbol
_atom_site_fract_x
_atom_site_fract_y
_atom_site_fract_z
_atom_site_occupancy
Na1 Na 0.0731 0.2448 0.3343 1
Na2 Na 0.2389 0.0000 0.8616 1
Te1 Te 0.0000 0.5000 0.0000 1
Se1 Se 0.0000 0.0000 0.5000 1
I1 I 0.2492 0.5000 0.7226 1
```

Largest 10 diffraction maxima, sorted by position, 5 to 70 degrees two-theta:
2θ (°)  d/Å  I/Imax
22.35  3.978  100
22.48  3.954  35
22.64  3.928  74
31.99  2.798  70
39.10  2.304  32
39.38  2.288  16
39.53  2.280  45
39.66  2.272  21
45.57  1.991  11
45.90  1.977  11

=====

[8]
Diffraction record for NaSmI. The powder XRD pattern is theoretical, not measured: it uses a crystal structure in Alexandria, relaxed with PBE and Cu Kα (weighted mean of Kα1 and Kα2).

Cell and atoms:
```
data_NaSmI
_chemical_formula_sum 'Na6 Sm6 I6'
_space_group_name_H-M_alt 'R -3 m'
_space_group_IT_number 166
_space_group_name_Hall '-R 3 2"'
_cell_length_a 3.9708
_cell_length_b 3.9708
_cell_length_c 45.9968
_cell_angle_alpha 90.00
_cell_angle_beta 90.00
_cell_angle_gamma 120.00
loop_
_atom_site_label
_atom_site_type_symbol
_atom_site_fract_x
_atom_site_fract_y
_atom_site_fract_z
_atom_site_occupancy
Na1 Na 0.0000 0.0000 0.1983 1
Sm1 Sm 0.0000 0.0000 0.3025 1
I1 I 0.0000 0.0000 0.4152 1
```

Largest 10 diffraction maxima, sorted by position, 5 to 70 degrees two-theta:
2θ (°)  d/Å  I/Imax
5.76  15.332  100
25.98  3.429  21
29.31  3.047  27
30.28  2.951  28
32.51  2.754  32
33.75  2.656  15
35.12  2.555  12
42.51  2.126  10
45.70  1.985  19
58.91  1.568  16

=====

[9]
Diffraction record for Na2SnI5. The powder XRD pattern is theoretical, not measured: it uses a crystal structure in Alexandria, relaxed with PBE and Cu Kα (weighted mean of Kα1 and Kα2).

Cell and atoms:
```
data_Na2SnI5
_chemical_formula_sum 'Na8 Sn4 I20'
_space_group_name_H-M_alt 'F m m m'
_space_group_IT_number 69
_space_group_name_Hall '-F 2 2'
_cell_length_a 6.1981
_cell_length_b 14.6547
_cell_length_c 15.4407
_cell_angle_alpha 90.00
_cell_angle_beta 90.00
_cell_angle_gamma 90.00
loop_
_atom_site_label
_atom_site_type_symbol
_atom_site_fract_x
_atom_site_fract_y
_atom_site_fract_z
_atom_site_occupancy
Na1 Na 0.0000 0.0000 0.1968 1
Sn1 Sn 0.0000 0.0000 0.5000 1
I1 I 0.0000 0.0000 0.0000 1
I2 I 0.0000 0.1380 0.3551 1
```

Largest 10 diffraction maxima, sorted by position, 5 to 70 degrees two-theta:
2θ (°)  d/Å  I/Imax
12.08  7.327  48
16.56  5.354  66
16.68  5.315  53
23.27  3.823  64
23.90  3.723  72
26.09  3.415  38
28.81  3.099  87
29.03  3.076  100
33.73  2.657  82
44.93  2.017  73

=====

[10]
Diffraction record for NaSn2I5. The powder XRD pattern is theoretical, not measured: it uses a crystal structure in Alexandria, relaxed with PBE and Cu Kα (weighted mean of Kα1 and Kα2).

Cell and atoms:
```
data_NaSn2I5
_chemical_formula_sum 'Na4 Sn8 I20'
_space_group_name_H-M_alt 'P 1 21/c 1'
_space_group_IT_number 14
_space_group_name_Hall '-P 2ybc'
_cell_length_a 11.7080
_cell_length_b 8.1214
_cell_length_c 15.5489
_cell_angle_alpha 90.00
_cell_angle_beta 110.65
_cell_angle_gamma 90.00
loop_
_atom_site_label
_atom_site_type_symbol
_atom_site_fract_x
_atom_site_fract_y
_atom_site_fract_z
_atom_site_occupancy
Na1 Na 0.0000 0.0000 0.0000 1
Na2 Na 0.5000 0.0000 0.0000 1
Sn1 Sn 0.0882 0.0073 0.3840 1
Sn2 Sn 0.4121 0.0072 0.6162 1
I1 I 0.0446 0.1709 0.1965 1
I2 I 0.1429 0.6657 0.0926 1
I3 I 0.2503 0.1916 0.0004 1
I4 I 0.3570 0.6658 0.9071 1
I5 I 0.4537 0.1710 0.8032 1
```

Largest 10 diffraction maxima, sorted by position, 5 to 70 degrees two-theta:
2θ (°)  d/Å  I/Imax
12.48  7.091  52
23.53  3.782  28
24.89  3.578  93
25.41  3.506  100
25.58  3.482  100
32.35  2.767  64
32.69  2.739  49
32.99  2.715  62
38.81  2.320  82
40.03  2.252  39

=====

[11]
Diffraction record for NaSn3I8. The powder XRD pattern is theoretical, not measured: it uses a crystal structure in Alexandria, relaxed with PBE and Cu Kα (weighted mean of Kα1 and Kα2).

Cell and atoms:
```
data_NaSn3I8
_chemical_formula_sum 'Na2 Sn6 I16'
_space_group_name_H-M_alt 'C 1 2/m 1'
_space_group_IT_number 12
_space_group_name_Hall '-C 2y'
_cell_length_a 15.5721
_cell_length_b 9.0091
_cell_length_c 9.0974
_cell_angle_alpha 90.00
_cell_angle_beta 125.52
_cell_angle_gamma 90.00
loop_
_atom_site_label
_atom_site_type_symbol
_atom_site_fract_x
_atom_site_fract_y
_atom_site_fract_z
_atom_site_occupancy
Na1 Na 0.0000 0.0000 0.0000 1
Sn1 Sn 0.0000 0.5000 0.0000 1
Sn2 Sn 0.2500 0.2500 0.0000 1
I1 I 0.0017 0.2539 0.7551 1
I2 I 0.2469 0.0000 0.7463 1
I3 I 0.2475 0.5000 0.7555 1
```

Largest 10 diffraction maxima, sorted by position, 5 to 70 degrees two-theta:
2θ (°)  d/Å  I/Imax
11.96  7.403  32
24.08  3.695  29
24.24  3.672  28
27.87  3.201  100
28.16  3.169  49
39.63  2.274  19
40.00  2.254  57
40.10  2.249  37
49.66  1.836  20
65.43  1.426  17

=====

[12]
Diffraction record for Na2TlSnI4. The powder XRD pattern is theoretical, not measured: it uses a crystal structure in Alexandria, relaxed with PBE and Cu Kα (weighted mean of Kα1 and Kα2).

Cell and atoms:
```
data_Na2TlSnI4
_chemical_formula_sum 'Na4 Tl2 Sn2 I8'
_space_group_name_H-M_alt 'I -4 m 2'
_space_group_IT_number 119
_space_group_name_Hall 'I -4 -2'
_cell_length_a 6.8684
_cell_length_b 6.8684
_cell_length_c 13.2165
_cell_angle_alpha 90.00
_cell_angle_beta 90.00
_cell_angle_gamma 90.00
loop_
_atom_site_label
_atom_site_type_symbol
_atom_site_fract_x
_atom_site_fract_y
_atom_site_fract_z
_atom_site_occupancy
Na1 Na 0.0000 0.0000 0.0000 1
Na2 Na 0.0000 0.5000 0.2500 1
Tl1 Tl 0.0000 0.5000 0.7500 1
Sn1 Sn 0.0000 0.0000 0.5000 1
I1 I 0.0000 0.0000 0.2499 1
I2 I 0.0000 0.5000 0.0129 1
```

Largest 10 diffraction maxima, sorted by position, 5 to 70 degrees two-theta:
2θ (°)  d/Å  I/Imax
14.53  6.095  32
24.00  3.708  20
25.94  3.434  100
26.99  3.304  44
37.02  2.428  39
37.78  2.381  72
46.41  1.957  40
60.26  1.536  19
60.79  1.524  18
67.22  1.393  26